# 1
# ScAl3Zn4
Calculated powder diffraction line list, Cu Kα X-rays. Input: DFT lattice parameters and positions (PBE).
Neutral-atom scattering factors, no anomalous dispersion.

Most intense lines, 5 to 70 degrees two-theta, in order of rising 2θ:
- 2θ 25.5, I 39
- 2θ 30.6, I 45
- 2θ 35.3, I 38
- 2θ 35.7, I 37
- 2θ 37.2, I 55
- 2θ 38.7, I 34
- 2θ 41.0, I 49
- 2θ 42.0, I 35
- 2θ 45.1, I 100
- 2θ 55.3, I 28

Crystal structure
abc: 7.8904 7.8904 7.8904
angles: 158.15 129.86 55.32
Fractional positions:
Sc 0.0000 0.0000 0.0000
Al 0.1878 0.6878 0.5000
Al 0.5000 0.5000 0.0000
Al 0.8122 0.3122 0.5000
Zn 0.1693 0.8561 0.3131
Zn 0.4570 0.1439 0.3131
Zn 0.5430 0.8561 0.6869
Zn 0.8307 0.1439 0.6869


# 2
# Zr4PdRu3
Calculated powder diffraction line list, Cu Kα X-rays. Input: DFT lattice parameters and positions (PBE).
Neutral-atom scattering factors, no anomalous dispersion.

Most intense lines, 5 to 70 degrees two-theta, in order of rising 2θ:
- 2θ 38.3, I 26
- 2θ 38.5, I 25
- 2θ 38.7, I 100
- 2θ 55.4, I 17
- 2θ 56.5, I 8
- 2θ 69.6, I 17
- 2θ 69.8, I 17

Crystal structure
abc: 3.2597 4.6973 9.3543
angles: 90.00 90.00 90.00
Fractional positions:
Zr 0.0000 0.0000 0.0000
Zr 0.0000 0.0000 0.5000
Zr 0.0000 0.5000 0.2442
Zr 0.0000 0.5000 0.7558
Pd 0.5000 0.5000 0.5000
Ru 0.5000 0.0000 0.2488
Ru 0.5000 0.0000 0.7512
Ru 0.5000 0.5000 0.0000


# 3
# Tb2Sn2H
Calculated powder diffraction line list, Cu Kα X-rays. Input: DFT lattice parameters and positions (PBE).
Neutral-atom scattering factors, no anomalous dispersion.

Most intense lines, 5 to 70 degrees two-theta, in order of rising 2θ:
- 2θ 29.8, I 38
- 2θ 30.0, I 40
- 2θ 35.3, I 100
- 2θ 42.8, I 29
- 2θ 56.5, I 23
- 2θ 56.7, I 26
- 2θ 58.0, I 6
- 2θ 61.9, I 5
- 2θ 62.3, I 5
- 2θ 66.6, I 15

Crystal structure
abc: 7.6383 7.6383 7.6383
angles: 133.78 67.24 134.03
Fractional positions:
Tb 0.0696 0.2396 0.3093
Tb 0.4304 0.7396 0.1700
Tb 0.5696 0.2604 0.8300
Tb 0.9304 0.7604 0.6907
Sn 0.1848 0.7230 0.9079
Sn 0.3152 0.2230 0.5382
Sn 0.6848 0.7770 0.4618
Sn 0.8152 0.2770 0.0921
H 0.2500 0.2500 0.0000
H 0.7500 0.7500 0.0000


# 4
# Si4Cl
Calculated powder diffraction line list, Cu Kα X-rays. Input: DFT lattice parameters and positions (PBE).
Neutral-atom scattering factors, no anomalous dispersion.

Most intense lines, 5 to 70 degrees two-theta, in order of rising 2θ:
- 2θ 21.6, I 45
- 2θ 30.7, I 40
- 2θ 37.9, I 18
- 2θ 44.0, I 100
- 2θ 49.5, I 7
- 2θ 54.6, I 10
- 2θ 59.4, I 8
- 2θ 64.0, I 16
- 2θ 68.4, I 4

Crystal structure
abc: 5.0385 5.0385 5.0385
angles: 109.47 109.47 109.47
Fractional positions:
Si 0.0000 0.0000 0.5000
Si 0.0000 0.5000 0.0000
Si 0.5000 0.0000 0.0000
Si 0.5000 0.5000 0.5000
Cl 0.0000 0.0000 0.0000


# 5
# Nd15ErIn4
Calculated powder diffraction line list, Cu Kα X-rays. Input: DFT lattice parameters and positions (PBE).
Neutral-atom scattering factors, no anomalous dispersion.

Most intense lines, 5 to 70 degrees two-theta, in order of rising 2θ:
- 2θ 30.8, I 100
- 2θ 35.3, I 17
- 2θ 36.0, I 33
- 2θ 51.3, I 23
- 2θ 51.8, I 12
- 2θ 57.0, I 1
- 2θ 60.6, I 13
- 2θ 61.5, I 28
- 2θ 64.3, I 12

Crystal structure
abc: 4.9900 4.9900 25.4291
angles: 90.00 90.00 90.00
Fractional positions:
Nd 0.0000 0.0000 0.0000
Nd 0.0000 0.0000 0.2036
Nd 0.0000 0.0000 0.4012
Nd 0.0000 0.0000 0.5988
Nd 0.0000 0.0000 0.7964
Nd 0.0000 0.5000 0.1044
Nd 0.0000 0.5000 0.3024
Nd 0.0000 0.5000 0.5000
Nd 0.0000 0.5000 0.6976
Nd 0.0000 0.5000 0.8956
Nd 0.5000 0.0000 0.1044
Nd 0.5000 0.0000 0.3024
Nd 0.5000 0.0000 0.5000
Nd 0.5000 0.0000 0.6976
Nd 0.5000 0.0000 0.8956
Er 0.5000 0.5000 0.0000
In 0.5000 0.5000 0.2048
In 0.5000 0.5000 0.4013
In 0.5000 0.5000 0.5987
In 0.5000 0.5000 0.7952


# 6
# MnZnN
Calculated powder diffraction line list, Cu Kα X-rays. Input: DFT lattice parameters and positions (PBE).
Neutral-atom scattering factors, no anomalous dispersion.

Most intense lines, 5 to 70 degrees two-theta, in order of rising 2θ:
- 2θ 36.5, I 84
- 2θ 37.9, I 71
- 2θ 39.4, I 90
- 2θ 41.6, I 57
- 2θ 41.8, I 86
- 2θ 44.1, I 100
- 2θ 53.9, I 32
- 2θ 54.8, I 24
- 2θ 57.8, I 30
- 2θ 63.0, I 30

Crystal structure
abc: 5.1738 5.1738 5.3856
angles: 113.16 113.16 29.67
Fractional positions:
Mn 0.0000 0.0000 0.0000
Mn 0.2337 0.2337 0.9249
Zn 0.4766 0.4766 0.3964
Zn 0.7302 0.7302 0.3575
N 0.5675 0.5675 0.8130
N 0.8074 0.8074 0.7633


# 7
# SiBAu
Calculated powder diffraction line list, Cu Kα X-rays. Input: DFT lattice parameters and positions (PBE).
Neutral-atom scattering factors, no anomalous dispersion.

Most intense lines, 5 to 70 degrees two-theta, in order of rising 2θ:
- 2θ 17.8, I 100
- 2θ 28.7, I 58
- 2θ 29.6, I 46
- 2θ 36.0, I 35
- 2θ 36.3, I 21
- 2θ 36.6, I 20
- 2θ 38.2, I 27
- 2θ 38.5, I 26
- 2θ 42.8, I 23
- 2θ 43.6, I 22

Crystal structure
abc: 2.7001 3.4808 5.3254
angles: 71.05 76.38 67.59
Fractional positions:
Si 0.0000 0.0000 0.0000
B 0.2336 0.3612 0.1701
Au 0.6428 0.1829 0.5454


# 8
# TiTlCu2S4
Calculated powder diffraction line list, Cu Kα X-rays. Input: DFT lattice parameters and positions (PBE).
Neutral-atom scattering factors, no anomalous dispersion.

Most intense lines, 5 to 70 degrees two-theta, in order of rising 2θ:
- 2θ 17.6, I 29
- 2θ 21.8, I 7
- 2θ 27.8, I 100
- 2θ 30.0, I 16
- 2θ 31.0, I 16
- 2θ 35.9, I 19
- 2θ 44.4, I 20
- 2θ 46.9, I 34
- 2θ 53.2, I 31
- 2θ 57.5, I 12

Crystal structure
abc: 6.6287 6.6270 5.7669
angles: 64.23 64.20 51.58
Fractional positions:
Ti 0.0000 0.0000 0.0000
Tl 0.5007 0.5007 0.4993
Cu 0.2502 0.2502 0.2498
Cu 0.7502 0.7502 0.7498
S 0.0698 0.6434 0.9302
S 0.3564 0.9310 0.0690
S 0.6434 0.0698 0.3566
S 0.9310 0.3564 0.6436